(1)
Diffraction record for SmHo3Se6. The powder diffractogram is theoretical, not measured: it uses DFT lattice parameters and positions (PBE) and Cu Ka.
Kinematic intensities with the Lorentz-polarization factor, no thermal factor.

Cell and atoms:
```
SmHo3Se6
1.0
11.570 0.000 0.000
0.000 4.112 0.000
-3.885 0.000 11.202
Sm Ho Se
2 6 12
direct
0.046 0.250 0.194
0.954 0.750 0.806
0.159 0.250 0.585
0.318 0.750 0.999
0.436 0.250 0.333
0.564 0.750 0.667
0.682 0.250 0.001
0.841 0.750 0.415
0.083 0.750 0.404
0.115 0.250 0.965
0.195 0.750 0.750
0.258 0.750 0.225
0.395 0.250 0.561
0.480 0.250 0.114
0.520 0.750 0.886
0.605 0.750 0.439
0.742 0.250 0.775
0.805 0.250 0.250
0.885 0.750 0.035
0.917 0.250 0.596
```

Top 6 peaks for 15° ≤ 2θ ≤ 90°, sorted by position:
d = 3.857 Å, 23.1 deg, I 75
d = 3.518 Å, 25.3 deg, I 55
d = 2.998 Å, 29.8 deg, I 100
d = 2.727 Å, 32.8 deg, I 76
d = 2.233 Å, 40.4 deg, I 77
d = 2.056 Å, 44.0 deg, I 68

(2)
Diffraction record for SmHo6Se8. The powder diffractogram is theoretical, not measured: it uses DFT lattice parameters and positions (PBE) and Cu Ka.
Kinematic intensities with the Lorentz-polarization factor, no thermal factor.

Cell and atoms:
```
SmHo6Se8
1.0
0.000 5.725 5.725
5.725 0.000 5.725
5.725 5.725 0.000
Sm Ho Se
1 6 8
direct
0.000 0.000 0.000
0.000 0.000 0.500
0.000 0.500 0.000
0.000 0.500 0.500
0.500 0.000 0.000
0.500 0.000 0.500
0.500 0.500 0.000
0.250 0.250 0.250
0.258 0.258 0.742
0.258 0.742 0.258
0.258 0.742 0.742
0.742 0.258 0.258
0.742 0.258 0.742
0.742 0.742 0.258
0.750 0.750 0.750
```

Top 6 peaks for 15° ≤ 2θ ≤ 90°, sorted by position:
d = 3.305 Å, 27.0 deg, I 15
d = 2.862 Å, 31.2 deg, I 100
d = 2.024 Å, 44.8 deg, I 74
d = 1.653 Å, 55.6 deg, I 26
d = 1.280 Å, 74.1 deg, I 33
d = 1.169 Å, 82.6 deg, I 25

(3)
Diffraction record for Sm3Ho5Se8. The powder diffractogram is theoretical, not measured: it uses DFT lattice parameters and positions (PBE) and Cu Ka.
Kinematic intensities with the Lorentz-polarization factor, no thermal factor.

Cell and atoms:
```
Sm3Ho5Se8
1.0
4.087 2.359 6.745
-4.087 2.359 6.745
0.000 -4.719 6.745
Sm Ho Se
3 5 8
direct
0.000 0.500 0.500
0.500 0.000 0.500
0.500 0.500 0.000
0.000 0.000 0.000
0.000 0.000 0.500
0.000 0.500 0.000
0.500 0.000 0.000
0.500 0.500 0.500
0.242 0.750 0.750
0.246 0.246 0.246
0.250 0.250 0.758
0.250 0.758 0.250
0.750 0.242 0.750
0.750 0.750 0.242
0.754 0.754 0.754
0.758 0.250 0.250
```

Top 6 peaks for 15° ≤ 2θ ≤ 90°, sorted by position:
d = 2.900 Å, 30.8 deg, I 100
d = 2.058 Å, 44.0 deg, I 37
d = 2.043 Å, 44.3 deg, I 37
d = 1.670 Å, 55.0 deg, I 19
d = 1.301 Å, 72.7 deg, I 17
d = 1.293 Å, 73.2 deg, I 17

(4)
Diffraction record for Sm5Ho3Se8. The powder diffractogram is theoretical, not measured: it uses DFT lattice parameters and positions (PBE) and Cu Ka.
Kinematic intensities with the Lorentz-polarization factor, no thermal factor.

Cell and atoms:
```
Sm5Ho3Se8
1.0
4.118 2.378 6.788
-4.118 2.378 6.788
0.000 -4.755 6.788
Sm Ho Se
5 3 8
direct
0.000 0.000 0.000
0.000 0.500 0.500
0.500 0.000 0.500
0.500 0.500 0.000
0.500 0.500 0.500
0.000 0.000 0.500
0.000 0.500 0.000
0.500 0.000 0.000
0.242 0.750 0.750
0.246 0.246 0.246
0.250 0.250 0.758
0.250 0.758 0.250
0.750 0.242 0.750
0.750 0.750 0.242
0.754 0.754 0.754
0.758 0.250 0.250
```

Top 6 peaks for 15° ≤ 2θ ≤ 90°, sorted by position:
d = 2.921 Å, 30.6 deg, I 100
d = 2.072 Å, 43.7 deg, I 37
d = 2.059 Å, 44.0 deg, I 37
d = 1.683 Å, 54.5 deg, I 19
d = 1.310 Å, 72.1 deg, I 17
d = 1.303 Å, 72.5 deg, I 17

- What is the formula in the fourth record?
  Sm5Ho3Se8